Theoretical X-ray diffraction stick pattern of Na3CrBAsO7 for Cu Kα, from DFT lattice parameters and positions (PBE+U).
Kinematic intensities with the Lorentz-polarization factor, no thermal factor.

Top 10 peaks for 10 to 90 degrees two-theta, by angle:
- 18.87 deg, 4.702 Å, I = 39, hkl 1 0 -1
- 23.59 deg, 3.772 Å, I = 47, hkl 1 1 1
- 25.18 deg, 3.537 Å, I = 50, hkl 1 0 -2
- 26.44 deg, 3.370 Å, I = 92, hkl 0 2 0
- 29.36 deg, 3.042 Å, I = 43, hkl 1 1 2
- 32.36 deg, 2.766 Å, I = 31, hkl 0 1 3
- 32.69 deg, 2.739 Å, I = 52, hkl 1 2 -1
- 33.08 deg, 2.708 Å, I = 83, hkl 0 2 2
- 33.37 deg, 2.685 Å, I = 100, hkl 2 0 0
- 48.26 deg, 1.886 Å, I = 40, hkl 2 2 2

Cell and atoms:
```
Na3CrBAsO7
1.0
5.3735 0.0000 0.0000
0.0000 6.7408 0.0000
-0.3412 0.0000 9.1002
Na Cr B As O
6 2 2 2 14
Direct
0.2385 0.2500 0.0735
0.2471 0.5009 0.7563
0.2471 0.9991 0.7563
0.7529 0.0009 0.2437
0.7529 0.4991 0.2437
0.7615 0.7500 0.9265
0.2196 0.7500 0.3281
0.7804 0.2500 0.6719
0.2796 0.7500 0.0645
0.7204 0.2500 0.9355
0.2835 0.2500 0.4244
0.7165 0.7500 0.5756
0.0449 0.7500 0.1292
0.1273 0.2500 0.5843
0.2066 0.0535 0.3102
0.2066 0.4465 0.3102
0.3166 0.7500 0.9193
0.3997 0.7500 0.5336
0.4726 0.7500 0.1744
0.5274 0.2500 0.8256
0.6003 0.2500 0.4664
0.6834 0.2500 0.0807
0.7934 0.5535 0.6898
0.7934 0.9465 0.6898
0.8727 0.7500 0.4157
0.9551 0.2500 0.8708
```